(1)
Simulated X-ray powder pattern of AcIn2F11 for λ = 1.5418 Å (Cu Kα), from a DFT-relaxed cell (GGA-PBE, Alexandria).

Main lines, sorted by position (5° ≤ 2θ ≤ 70°):
13.75 deg, rel. 45.6
20.40 deg, rel. 100.0
22.77 deg, rel. 70.7
24.53 deg, rel. 28.9
26.47 deg, rel. 26.7
27.92 deg, rel. 19.8
41.49 deg, rel. 23.6
41.64 deg, rel. 27.7
44.93 deg, rel. 31.3
47.65 deg, rel. 30.4

Cell and atoms:
```
data_AcIn2F11
_space_group_name_H-M_alt 'P 1'
_space_group_IT_number 1
_cell_length_a 8.876
_cell_length_b 8.876
_cell_length_c 8.876
_cell_angle_alpha 125.02
_cell_angle_beta 108.18
_cell_angle_gamma 96.55
loop_
_space_group_symop_operation_xyz
'x,y,z'
loop_
_atom_site_label
_atom_site_type_symbol
_atom_site_fract_x
_atom_site_fract_y
_atom_site_fract_z
Ac1 Ac 0.250 0.250 0.000
Ac2 Ac 0.750 0.750 0.000
In1 In 0.193 0.663 0.856
In2 In 0.307 0.163 0.470
In3 In 0.693 0.837 0.530
In4 In 0.807 0.337 0.144
F1 F 0.000 0.500 0.500
F2 F 0.042 0.348 0.142
F3 F 0.046 0.979 0.290
F4 F 0.189 0.479 0.933
F5 F 0.192 0.397 0.589
F6 F 0.206 0.900 0.858
F7 F 0.294 0.152 0.694
F8 F 0.308 0.897 0.205
F9 F 0.311 0.244 0.290
F10 F 0.454 0.744 0.933
F11 F 0.458 0.600 0.306
F12 F 0.500 0.000 0.500
F13 F 0.542 0.400 0.694
F14 F 0.546 0.256 0.067
F15 F 0.689 0.756 0.710
F16 F 0.692 0.103 0.795
F17 F 0.706 0.848 0.306
F18 F 0.794 0.100 0.142
F19 F 0.808 0.603 0.411
F20 F 0.811 0.521 0.067
F21 F 0.954 0.021 0.710
F22 F 0.958 0.652 0.858
```

---

(2)
Simulated X-ray powder pattern of LiH6Rh2 for λ = 1.5418 Å (Cu Kα), from a DFT-relaxed cell (GGA-PBE, Alexandria).

Main lines, sorted by position (5° ≤ 2θ ≤ 70°):
13.00 deg, rel. 50.9
26.17 deg, rel. 19.2
30.35 deg, rel. 38.0
35.74 deg, rel. 100.0
39.70 deg, rel. 16.9
42.37 deg, rel. 29.1
50.49 deg, rel. 11.8
56.26 deg, rel. 10.9
59.46 deg, rel. 22.5
69.48 deg, rel. 12.8

Cell and atoms:
```
data_LiH6Rh2
_space_group_name_H-M_alt 'P 1'
_space_group_IT_number 1
_cell_length_a 7.137
_cell_length_b 7.137
_cell_length_c 7.137
_cell_angle_alpha 155.60
_cell_angle_beta 155.60
_cell_angle_gamma 34.78
loop_
_space_group_symop_operation_xyz
'x,y,z'
loop_
_atom_site_label
_atom_site_type_symbol
_atom_site_fract_x
_atom_site_fract_y
_atom_site_fract_z
Li1 Li 0.000 0.000 0.000
H1 H 0.096 0.596 0.500
H2 H 0.250 0.750 0.500
H3 H 0.404 0.904 0.500
H4 H 0.596 0.096 0.500
H5 H 0.750 0.250 0.500
H6 H 0.904 0.404 0.500
Rh1 Rh 0.338 0.338 0.000
Rh2 Rh 0.662 0.662 0.000
```

---

(3)
Simulated X-ray powder pattern of KAl4Te7 for λ = 1.5418 Å (Cu Kα), from a DFT-relaxed cell (GGA-PBE, Alexandria).

Main lines, sorted by position (5° ≤ 2θ ≤ 70°):
24.42 deg, rel. 28.8
24.94 deg, rel. 21.1
25.80 deg, rel. 49.3
27.67 deg, rel. 100.0
28.13 deg, rel. 42.7
35.82 deg, rel. 16.8
42.66 deg, rel. 15.0
43.61 deg, rel. 26.0
46.67 deg, rel. 32.5
51.36 deg, rel. 25.9

Cell and atoms:
```
data_KAl4Te7
_space_group_name_H-M_alt 'P 1'
_space_group_IT_number 1
_cell_length_a 16.954
_cell_length_b 7.142
_cell_length_c 6.906
_cell_angle_alpha 90.00
_cell_angle_beta 90.00
_cell_angle_gamma 90.00
loop_
_space_group_symop_operation_xyz
'x,y,z'
loop_
_atom_site_label
_atom_site_type_symbol
_atom_site_fract_x
_atom_site_fract_y
_atom_site_fract_z
K1 K 0.000 0.155 0.000
K2 K 0.500 0.845 0.500
Al1 Al 0.121 0.668 0.649
Al2 Al 0.249 0.180 0.629
Al3 Al 0.251 0.820 0.129
Al4 Al 0.379 0.332 0.149
Al5 Al 0.621 0.332 0.149
Al6 Al 0.749 0.820 0.129
Al7 Al 0.751 0.180 0.629
Al8 Al 0.879 0.668 0.649
Te1 Te 0.000 0.856 0.505
Te2 Te 0.114 0.322 0.517
Te3 Te 0.115 0.678 0.029
Te4 Te 0.243 0.180 0.021
Te5 Te 0.257 0.820 0.521
Te6 Te 0.385 0.322 0.529
Te7 Te 0.386 0.678 0.017
Te8 Te 0.500 0.144 0.005
Te9 Te 0.614 0.678 0.017
Te10 Te 0.615 0.322 0.529
Te11 Te 0.743 0.820 0.521
Te12 Te 0.757 0.180 0.021
Te13 Te 0.885 0.678 0.029
Te14 Te 0.886 0.322 0.517
```

---

(4)
Simulated X-ray powder pattern of Eu2HoSc for λ = 1.5418 Å (Cu Kα), from a DFT-relaxed cell (GGA-PBE, Alexandria).

Main lines, sorted by position (5° ≤ 2θ ≤ 70°):
7.09 deg, rel. 93.3
28.64 deg, rel. 77.2
29.98 deg, rel. 100.0
31.97 deg, rel. 99.3
34.11 deg, rel. 78.5
38.32 deg, rel. 57.8
51.39 deg, rel. 28.3
52.50 deg, rel. 42.7
60.90 deg, rel. 54.2
62.76 deg, rel. 29.5

Cell and atoms:
```
data_Eu2HoSc
_space_group_name_H-M_alt 'P 1'
_space_group_IT_number 1
_cell_length_a 12.627
_cell_length_b 12.627
_cell_length_c 12.627
_cell_angle_alpha 15.87
_cell_angle_beta 15.87
_cell_angle_gamma 15.87
loop_
_space_group_symop_operation_xyz
'x,y,z'
loop_
_atom_site_label
_atom_site_type_symbol
_atom_site_fract_x
_atom_site_fract_y
_atom_site_fract_z
Eu1 Eu 0.084 0.084 0.084
Eu2 Eu 0.916 0.916 0.916
Ho1 Ho 0.500 0.500 0.500
Sc1 Sc 0.000 0.000 0.000
```